Entry 1:
Starting from a structure optimized by DFT (GGA-PBE), the PXRD pattern of CeMgNi4 was computed for copper Kα.
Neutral-atom scattering factors, no anomalous dispersion.

Cell and atoms:
Unit cell a=7.0135 b=7.0135 c=7.0135 alpha=90.00 beta=90.00 gamma=90.00
Space group F-43m (No. 216)
Inequivalent atoms, fractional coordinates:
Ce (0.0000, 0.0000, 0.0000) [4 per cell]
Mg (0.2500, 0.2500, 0.2500) [4 per cell]
Ni (0.1238, 0.1238, 0.6238) [16 per cell]

Main lines, in order of falling intensity (10 to 80 degrees two-theta):
2theta	intensity	(hkl)
42.8	100.0	3 1 1
44.8	34.8	2 2 2
36.2	32.4	2 2 0
69.7	29.8	5 1 1
76.9	21.7	4 4 0
25.4	20.7	2 0 0
22.0	17.6	1 1 1
65.2	11.5	4 2 2
58.9	7.1	4 2 0
57.3	4.7	3 3 1
52.2	1.7	4 0 0

Entry 2:
Starting from a structure optimized by DFT (GGA-PBE), the PXRD pattern of RbMg14SiO16 was computed for copper Kα.
Neutral-atom scattering factors, no anomalous dispersion.

Cell and atoms:
Unit cell a=8.6413 b=8.6413 c=4.5114 alpha=90.00 beta=90.00 gamma=90.00
Space group P4/mmm (No. 123)
Inequivalent atoms, fractional coordinates:
Rb (0.0000, 0.0000, 0.0000) [1 per cell]
Mg (0.0000, 0.2517, 0.5000) [4 per cell]
Mg (0.0000, 0.5000, 0.0000) [2 per cell]
Mg (0.2492, 0.2492, 0.0000) [4 per cell]
Mg (0.2493, 0.5000, 0.5000) [4 per cell]
Si (0.5000, 0.5000, 0.0000) [1 per cell]
O (0.0000, 0.0000, 0.5000) [1 per cell]
O (0.0000, 0.2819, 0.0000) [4 per cell]
O (0.0000, 0.5000, 0.5000) [2 per cell]
O (0.2518, 0.2518, 0.5000) [4 per cell]
O (0.2755, 0.5000, 0.0000) [4 per cell]
O (0.5000, 0.5000, 0.5000) [1 per cell]

Main lines, in order of falling intensity (10 to 80 degrees two-theta):
2theta	intensity	(hkl)
41.8	100.0	4 0 0
59.2	62.6	4 0 2
40.0	60.3	0 0 2
35.5	30.1	2 2 1
60.6	27.7	4 4 0
75.1	26.9	4 4 2
72.2	13.6	6 2 1
14.5	10.0	1 1 0
10.2	9.9	1 0 0
42.7	7.8	3 2 1
24.5	6.6	1 1 1
69.7	6.3	2 2 3